# Li9Fe5Si2O16
Theoretical powder XRD pattern, Cu Kα. Input: the PBE+U geometry in the Materials Project.
No peak broadening, texture or thermal motion is included.

Principal peaks in the range 2θ = 5–70°, by angle:
| Position (°2θ) | Rel. int. | h k l |
| --- | --- | --- |
| 7.61 | 24.4 | 0 1 0 |
| 18.34 | 100.0 | 0 0 1 |
| 35.89 | 11.0 | 2 0 -1 |
| 36.18 | 22.9 | 1 4 0 |
| 43.44 | 28.7 | 2 0 -2 |
| 43.76 | 56.5 | 1 4 1 |
| 63.09 | 14.6 | 1 4 -3 |
| 63.63 | 15.0 | 3 4 -1 |

```
32
Lattice="5.078 0.000 0.000 0.000 11.612 0.000 -1.706 0.000 4.838" Properties=species:S:1:pos:R:3 pbc="T T T"
Li 0.000 0.000 0.000
Li -0.853 1.345 2.419
Li -0.853 4.355 2.419
Li -0.853 7.257 2.419
Li -0.853 10.268 2.419
Li 1.686 0.000 2.419
Li 1.686 2.811 2.419
Li 1.686 5.806 2.419
Li 1.686 8.802 2.419
Fe 0.000 2.774 0.000
Fe 0.000 5.806 0.000
Fe 0.000 8.838 0.000
Fe 2.539 4.303 0.000
Fe 2.539 7.310 0.000
Si 2.539 1.357 0.000
Si 2.539 10.255 0.000
O 0.835 4.324 1.118
O 0.835 7.288 1.118
O 0.001 5.806 3.710
O 0.045 2.707 3.767
O 0.045 8.906 3.767
O 1.061 1.452 1.017
O 1.061 10.160 1.017
O 0.145 0.000 3.815
O 3.227 0.000 1.023
O 2.311 1.452 3.821
O 2.311 10.160 3.821
O 3.327 2.707 1.072
O 3.327 8.906 1.072
O 3.371 5.806 1.129
O 2.537 4.324 3.720
O 2.537 7.288 3.720
```